Sr3CoRuO6: calculated PXRD pattern (Cu Kα, 1.54184 Å), based on a cell relaxed with PBE+U.
Kinematic intensities with the Lorentz-polarization factor, no thermal factor.

Crystal structure
abc: 6.690 6.694 6.872
angles: 91.89 91.92 93.10
Positions (direct):
1 Sr 0.115 0.250 0.391
2 Sr 0.250 0.115 0.891
3 Sr 0.385 0.615 0.750
4 Sr 0.615 0.385 0.250
5 Sr 0.750 0.885 0.109
6 Sr 0.885 0.750 0.609
7 Co 0.265 0.735 0.249
8 Co 0.735 0.265 0.751
9 Ru 0.000 0.500 0.000
10 Ru 0.500 0.000 0.500
11 O 0.026 0.399 0.714
12 O 0.082 0.780 0.943
13 O 0.220 0.919 0.558
14 O 0.292 0.465 0.091
15 O 0.399 0.026 0.214
16 O 0.465 0.292 0.591
17 O 0.535 0.708 0.409
18 O 0.601 0.974 0.786
19 O 0.708 0.535 0.909
20 O 0.780 0.081 0.442
21 O 0.918 0.220 0.057
22 O 0.974 0.601 0.286

Main lines, sorted by position (2θ from 10° to 90°):
| two_theta | intensity |
| --- | --- |
| 29.68 | 24 |
| 30.17 | 19 |
| 30.59 | 24 |
| 31.84 | 100 |
| 38.26 | 15 |
| 44.48 | 15 |